The following is a computed PXRD pattern of Ba4LiRh4O12. It was derived from a structure optimized by DFT (PBE), using Cu Kα (λ = 1.5418 Å).

Unit cell a=10.350 b=5.743 c=9.989 alpha=90.00 beta=94.31 gamma=90.00
Space group Cm (No. 8)
Unique sites:
Ba 0.000 0.000 0.000
Ba 0.063 0.000 0.440
Ba 0.148 0.500 0.761
Ba 0.361 0.000 0.234
Li 0.381 0.500 0.634
Rh 0.177 0.500 0.098
Rh 0.209 0.500 0.374
Rh 0.332 0.000 0.871
Rh 0.366 0.000 0.597
O 0.066 0.500 0.508
O 0.120 0.272 0.238
O 0.204 0.000 0.700
O 0.228 0.240 0.974
O 0.332 0.269 0.474
O 0.340 0.500 0.222
O 0.416 0.235 0.752
O 0.485 0.000 0.013

The 10 most intense peaks (10 to 80 degrees two-theta), in order of falling intensity:
Position (°2θ)  d [Å]  I/Imax  (hkl)
30.28  2.951  100  3 1 0
31.14  2.872  61  0 2 0
32.88  2.724  42  1 1 3
44.45  2.038  37  2 2 -3
24.72  3.602  31  1 1 -2
30.91  2.893  31  2 0 -3
46.14  1.967  29  2 2 3
25.65  3.472  26  1 1 2
31.04  2.881  22  3 1 -1
31.77  2.817  21  1 1 -3